Record 1
Structure and theoretical X-ray powder pattern of Bi (a DFT-relaxed cell (PBE, the Materials Project); λ = 1.5418 Å (Cu Kα)).
Intensities are scaled so that the largest is 100.

Principal peaks in the range 2θ = 10–80°, by angle:
2θ 26.84, I = 100
2θ 37.55, I = 37
2θ 39.08, I = 40
2θ 48.05, I = 21
2θ 61.45, I = 14
2θ 63.59, I = 19

Cell lengths 4.7976, 4.7976, 4.7976 Å; angles 57.42, 57.42, 57.42 degrees
Fractional coordinates of all 2 atoms:
Bi  0.2328  0.2328  0.2328
Bi  0.7672  0.7672  0.7672


Record 2
Structure and theoretical X-ray powder pattern of Zn3CrSe4 (a DFT-relaxed cell (PBE, the Materials Project); λ = 1.5418 Å (Cu Kα)).
Intensities are scaled so that the largest is 100.

Principal peaks in the range 2θ = 10–80°, by angle:
2θ 26.79, I = 100
2θ 31.03, I = 1
2θ 44.46, I = 73
2θ 52.67, I = 44
2θ 64.69, I = 11
2θ 71.33, I = 17

Cell lengths 5.7635, 5.7635, 5.7635 Å; angles 90.00, 90.00, 90.00 degrees
Fractional coordinates of all 8 atoms:
Zn  0.0000  0.0000  0.5000
Zn  0.0000  0.5000  0.0000
Zn  0.5000  0.0000  0.0000
Cr  0.5000  0.5000  0.5000
Se  0.2491  0.2491  0.7509
Se  0.2491  0.7509  0.2491
Se  0.7509  0.2491  0.2491
Se  0.7509  0.7509  0.7509